Simulated X-ray powder pattern
Compound: AgSeS
Radiation: copper Kα
Structure: a structure optimized by DFT (GGA-PBE)
Lines closer than 0.1° are merged.

Principal peaks in the range 2θ = 10–90°, in order of rising 2θ:
h k l, two_theta, d_spacing, I/Imax
1 1 0, 17.5, 5.073, 88
2 0 0, 18.0, 4.925, 100
1 1 -1, 21.8, 4.070, 41
1 1 1, 24.4, 3.645, 76
3 1 0, 31.2, 2.871, 57
2 0 -2, 32.0, 2.799, 82
3 1 1, 37.4, 2.407, 50
2 2 -2, 44.5, 2.035, 30
1 1 -3, 47.9, 1.898, 51
1 3 -1, 48.9, 1.861, 34

Cell and atoms:
```
data_AgSeS
_chemical_formula_sum 'Ag4 Se4 S4'
_symmetry_space_group_name_H-M 'C 1 2 1'
_symmetry_Int_Tables_number 5
_symmetry_space_group_name_Hall 'C 2y'
_cell_length_a 10.086
_cell_length_b 5.918
_cell_length_c 6.017
_cell_angle_alpha 90.00
_cell_angle_beta 102.44
_cell_angle_gamma 90.00
loop_
_atom_site_label
_atom_site_type_symbol
_atom_site_fract_x
_atom_site_fract_y
_atom_site_fract_z
_atom_site_occupancy
Ag1 Ag 0.220 0.000 0.225 1
Se1 Se 0.131 0.875 0.586 1
S1 S 0.143 0.151 0.835 1
```

***

Simulated X-ray powder pattern
Compound: Er3SbTe3
Radiation: copper Kα
Structure: a structure optimized by DFT (GGA-PBE)
Lines closer than 0.1° are merged.

Principal peaks in the range 2θ = 10–90°, in order of rising 2θ:
h k l, two_theta, d_spacing, I/Imax
0 0 6, 16.4, 5.416, 30
1 1 0, 23.2, 3.839, 16
2 -1 6, 28.5, 3.132, 100
1 1 12, 40.7, 2.214, 77
3 0 6, 44.1, 2.051, 9
2 2 6, 50.4, 1.809, 15
4 -2 12, 59.0, 1.566, 12
5 -1 6, 66.7, 1.402, 9
3 0 18, 66.8, 1.400, 10
4 1 12, 74.1, 1.279, 11

Cell and atoms:
```
data_Er3SbTe3
_chemical_formula_sum 'Er18 Sb6 Te18'
_symmetry_space_group_name_H-M 'R -3'
_symmetry_Int_Tables_number 148
_symmetry_space_group_name_Hall '-R 3'
_cell_length_a 7.6785
_cell_length_b 7.6785
_cell_length_c 32.4946
_cell_angle_alpha 90.00
_cell_angle_beta 90.00
_cell_angle_gamma 120.00
loop_
_atom_site_label
_atom_site_type_symbol
_atom_site_fract_x
_atom_site_fract_y
_atom_site_fract_z
_atom_site_occupancy
Er1 Er 0.0000 0.3746 0.0613 1
Sb1 Sb 0.0000 0.0000 0.3333 1
Te1 Te 0.9999 0.3011 0.8939 1
```

***

Simulated X-ray powder pattern
Compound: Ce3CSe2
Radiation: copper Kα
Structure: a structure optimized by DFT (GGA-PBE)
Lines closer than 0.1° are merged.

Principal peaks in the range 2θ = 10–90°, in order of rising 2θ:
h k l, two_theta, d_spacing, I/Imax
1 0 3, 26.9, 3.311, 41
1 1 0, 31.1, 2.876, 100
0 0 6, 31.4, 2.849, 34
1 0 5, 34.3, 2.617, 35
2 0 0, 44.5, 2.034, 37
1 1 6, 44.8, 2.024, 51
2 0 6, 55.5, 1.655, 27
1 0 11, 64.1, 1.452, 17
2 1 11, 81.4, 1.182, 18
3 1 6, 82.2, 1.172, 17

Cell and atoms:
```
data_Ce3CSe2
_chemical_formula_sum 'Ce6 C2 Se4'
_symmetry_space_group_name_H-M 'I 4/m m m'
_symmetry_Int_Tables_number 139
_symmetry_space_group_name_Hall '-I 4 2'
_cell_length_a 4.068
_cell_length_b 4.068
_cell_length_c 17.097
_cell_angle_alpha 90.00
_cell_angle_beta 90.00
_cell_angle_gamma 90.00
loop_
_atom_site_label
_atom_site_type_symbol
_atom_site_fract_x
_atom_site_fract_y
_atom_site_fract_z
_atom_site_occupancy
Ce1 Ce 0.000 0.000 0.000 1
Ce2 Ce 0.000 0.000 0.356 1
C1 C 0.000 0.000 0.500 1
Se1 Se 0.000 0.000 0.172 1
```

***

Simulated X-ray powder pattern
Compound: LiPrTm2Tl4
Radiation: copper Kα
Structure: a structure optimized by DFT (GGA-PBE)
Lines closer than 0.1° are merged.

Principal peaks in the range 2θ = 10–90°, in order of rising 2θ:
h k l, two_theta, d_spacing, I/Imax
1 0 4, 23.6, 3.763, 14
0 1 8, 33.2, 2.698, 100
1 1 0, 34.1, 2.626, 98
2 0 8, 48.4, 1.881, 40
1 0 16, 58.7, 1.572, 17
1 2 8, 60.5, 1.529, 39
3 0 0, 61.1, 1.516, 19
2 2 0, 71.9, 1.313, 12
2 1 16, 80.0, 1.200, 15
3 1 8, 81.5, 1.180, 16

Cell and atoms:
```
data_LiPrTm2Tl4
_chemical_formula_sum 'Li3 Pr3 Tm6 Tl12'
_symmetry_space_group_name_H-M 'R -3 m'
_symmetry_Int_Tables_number 166
_symmetry_space_group_name_Hall '-R 3 2"'
_cell_length_a 5.2514
_cell_length_b 5.2514
_cell_length_c 26.8049
_cell_angle_alpha 90.00
_cell_angle_beta 90.00
_cell_angle_gamma 120.00
loop_
_atom_site_label
_atom_site_type_symbol
_atom_site_fract_x
_atom_site_fract_y
_atom_site_fract_z
_atom_site_occupancy
Li1 Li 0.0000 0.0000 0.0000 1
Pr1 Pr 0.0000 0.0000 0.5000 1
Tm1 Tm 0.0000 0.0000 0.2546 1
Tl1 Tl 0.0000 0.0000 0.1197 1
Tl2 Tl 0.0000 0.0000 0.3711 1
```

***

Simulated X-ray powder pattern
Compound: Cs4Hg6Pt
Radiation: copper Kα
Structure: a structure optimized by DFT (GGA-PBE)
Lines closer than 0.1° are merged.

Principal peaks in the range 2θ = 10–90°, in order of rising 2θ:
h k l, two_theta, d_spacing, I/Imax
1 0 1, 12.5, 7.074, 85
2 1 2, 26.7, 3.333, 100
3 1 0, 28.1, 3.171, 64
1 0 3, 28.3, 3.153, 35
3 1 1, 29.6, 3.021, 41
0 0 4, 36.1, 2.491, 26
3 1 3, 39.3, 2.293, 20
4 2 0, 40.2, 2.242, 36
3 1 4, 46.3, 1.960, 43
4 2 4, 55.1, 1.666, 20

Cell and atoms:
```
data_Cs4Hg6Pt
_chemical_formula_sum 'Cs8 Hg12 Pt2'
_symmetry_space_group_name_H-M 'P 4/m n c'
_symmetry_Int_Tables_number 128
_symmetry_space_group_name_Hall '-P 4 2n'
_cell_length_a 10.026
_cell_length_b 10.026
_cell_length_c 9.963
_cell_angle_alpha 90.00
_cell_angle_beta 90.00
_cell_angle_gamma 90.00
loop_
_atom_site_label
_atom_site_type_symbol
_atom_site_fract_x
_atom_site_fract_y
_atom_site_fract_z
_atom_site_occupancy
Cs1 Cs 0.153 0.347 0.250 1
Hg1 Hg 0.000 0.000 0.212 1
Hg2 Hg 0.099 0.734 0.500 1
Pt1 Pt 0.000 0.000 0.500 1
```

***

Simulated X-ray powder pattern
Compound: Er2PuF11
Radiation: copper Kα
Structure: a structure optimized by DFT (GGA-PBE)
Lines closer than 0.1° are merged.

Principal peaks in the range 2θ = 10–90°, in order of rising 2θ:
h k l, two_theta, d_spacing, I/Imax
1 1 0, 14.1, 6.303, 27
1 1 2, 21.4, 4.143, 100
1 2 1, 22.1, 4.018, 27
0 2 2, 23.7, 3.750, 63
2 1 1, 25.3, 3.526, 42
1 3 0, 28.4, 3.145, 36
1 3 4, 43.7, 2.070, 41
3 3 2, 46.3, 1.962, 31
4 0 2, 48.4, 1.879, 27
1 5 2, 48.7, 1.869, 19

Cell and atoms:
```
data_Er2PuF11
_chemical_formula_sum 'Er8 Pu4 F44'
_symmetry_space_group_name_H-M 'I b a m'
_symmetry_Int_Tables_number 72
_symmetry_space_group_name_Hall '-I 2 2c'
_cell_length_a 7.990
_cell_length_b 10.257
_cell_length_c 10.996
_cell_angle_alpha 90.00
_cell_angle_beta 90.00
_cell_angle_gamma 90.00
loop_
_atom_site_label
_atom_site_type_symbol
_atom_site_fract_x
_atom_site_fract_y
_atom_site_fract_z
_atom_site_occupancy
Er1 Er 0.135 0.181 0.000 1
Pu1 Pu 0.000 0.500 0.250 1
F1 F 0.000 0.000 0.000 1
F2 F 0.096 0.329 0.150 1
F3 F 0.128 0.226 0.500 1
F4 F 0.213 0.433 0.360 1
```

***

Simulated X-ray powder pattern
Compound: Dy6Y2Er3
Radiation: copper Kα
Structure: a structure optimized by DFT (GGA-PBE)
Lines closer than 0.1° are merged.

Principal peaks in the range 2θ = 10–90°, in order of rising 2θ:
h k l, two_theta, d_spacing, I/Imax
0 1 11, 30.9, 2.890, 100
0 0 33, 31.0, 2.880, 33
1 0 22, 35.9, 2.500, 67
1 1 0, 51.6, 1.770, 24
0 1 44, 51.8, 1.766, 24
2 0 11, 61.5, 1.509, 42
1 0 55, 61.6, 1.506, 14
0 2 22, 64.5, 1.445, 12
1 2 11, 84.3, 1.149, 12
2 1 22, 87.1, 1.119, 11

Cell and atoms:
```
data_Dy6Y2Er3
_chemical_formula_sum 'Dy18 Y6 Er9'
_symmetry_space_group_name_H-M 'R -3 m'
_symmetry_Int_Tables_number 166
_symmetry_space_group_name_Hall '-R 3 2"'
_cell_length_a 3.5404
_cell_length_b 3.5404
_cell_length_c 95.0533
_cell_angle_alpha 90.00
_cell_angle_beta 90.00
_cell_angle_gamma 120.00
loop_
_atom_site_label
_atom_site_type_symbol
_atom_site_fract_x
_atom_site_fract_y
_atom_site_fract_z
_atom_site_occupancy
Dy1 Dy 0.0000 0.0000 0.0904 1
Dy2 Dy 0.0000 0.0000 0.1818 1
Dy3 Dy 0.0000 0.0000 0.3635 1
Y1 Y 0.0000 0.0000 0.4543 1
Er1 Er 0.0000 0.0000 0.0000 1
Er2 Er 0.0000 0.0000 0.2731 1
```

***

Simulated X-ray powder pattern
Compound: AcCrSb3
Radiation: copper Kα
Structure: a structure optimized by DFT (GGA-PBE)
Lines closer than 0.1° are merged.

Principal peaks in the range 2θ = 10–90°, in order of rising 2θ:
h k l, two_theta, d_spacing, I/Imax
1 1 1, 20.9, 4.247, 26
2 1 1, 23.7, 3.747, 25
2 2 0, 31.0, 2.886, 48
2 0 2, 31.3, 2.854, 33
4 1 1, 32.8, 2.728, 100
3 0 2, 34.6, 2.590, 19
0 2 2, 40.4, 2.232, 49
4 3 1, 52.8, 1.735, 25
4 1 3, 53.2, 1.721, 29
8 0 2, 61.4, 1.511, 22

Cell and atoms:
```
data_AcCrSb3
_chemical_formula_sum 'Ac4 Cr4 Sb12'
_symmetry_space_group_name_H-M 'P b c m'
_symmetry_Int_Tables_number 57
_symmetry_space_group_name_Hall '-P 2c 2b'
_cell_length_a 13.786
_cell_length_b 6.356
_cell_length_c 6.272
_cell_angle_alpha 90.00
_cell_angle_beta 90.00
_cell_angle_gamma 90.00
loop_
_atom_site_label
_atom_site_type_symbol
_atom_site_fract_x
_atom_site_fract_y
_atom_site_fract_z
_atom_site_occupancy
Ac1 Ac 0.193 0.003 0.250 1
Cr1 Cr 0.412 0.750 0.000 1
Sb1 Sb 0.001 0.750 0.000 1
Sb2 Sb 0.294 0.502 0.250 1
Sb3 Sb 0.441 0.098 0.250 1
```